1.
This entry pairs a crystal structure of La12Pm5Er with its theoretical powder diffractogram. Radiation: Cu Kα, 1.54184 Å. Structure: a crystal structure in Alexandria, relaxed with GGA-PBE.
Intensities are scaled so that the largest is 100.

Cell and atoms:
Cell lengths 6.414, 11.049, 11.080 Å; angles 119.87, 106.58, 90.02 degrees
Fractional positions:
La (0.000, 0.167, 0.000)
La (0.000, 0.833, 0.000)
La (0.167, 0.002, 0.668)
La (0.167, 0.665, 0.667)
La (0.333, 0.497, 0.333)
La (0.333, 0.836, 0.333)
La (0.500, 0.329, 0.000)
La (0.500, 0.671, 0.000)
La (0.667, 0.164, 0.667)
La (0.667, 0.503, 0.667)
La (0.833, 0.335, 0.333)
La (0.833, 0.998, 0.332)
Pm (0.000, 0.500, 0.000)
Pm (0.168, 0.333, 0.667)
Pm (0.335, 0.166, 0.332)
Pm (0.665, 0.834, 0.668)
Pm (0.832, 0.667, 0.333)
Er (0.500, 0.000, 0.000)

The 10 most intense peaks (2θ = 10–90°), in order of rising 2θ:
d_spacing	I/Imax
3.022	100
3.015	99
2.624	34
2.609	67
1.850	48
1.581	29
1.576	22
1.573	28
1.508	19
1.200	17

=====

2.
This entry pairs a crystal structure of LaPm3Er12 with its theoretical powder diffractogram. Radiation: Cu Kα, 1.54184 Å. Structure: a crystal structure in Alexandria, relaxed with GGA-PBE.
Intensities are scaled so that the largest is 100.

Cell and atoms:
Cell lengths 5.019, 5.019, 20.105 Å; angles 90.00, 90.00, 90.00 degrees
Fractional positions:
La (0.000, 0.000, 0.000)
Pm (0.000, 0.000, 0.250)
Pm (0.000, 0.000, 0.500)
Pm (0.000, 0.000, 0.750)
Er (0.000, 0.500, 0.127)
Er (0.000, 0.500, 0.376)
Er (0.000, 0.500, 0.624)
Er (0.000, 0.500, 0.873)
Er (0.500, 0.000, 0.127)
Er (0.500, 0.000, 0.376)
Er (0.500, 0.000, 0.624)
Er (0.500, 0.000, 0.873)
Er (0.500, 0.500, 0.000)
Er (0.500, 0.500, 0.251)
Er (0.500, 0.500, 0.500)
Er (0.500, 0.500, 0.749)

The 10 most intense peaks (2θ = 10–90°), in order of rising 2θ:
d_spacing	I/Imax
2.899	100
2.511	51
1.775	36
1.514	43
1.450	12
1.257	2
1.255	4
1.152	18
1.123	11
1.122	6

=====

3.
This entry pairs a crystal structure of La3Pm2Er3 with its theoretical powder diffractogram. Radiation: Cu Kα, 1.54184 Å. Structure: a crystal structure in Alexandria, relaxed with GGA-PBE.
Intensities are scaled so that the largest is 100.

Cell and atoms:
Cell lengths 8.689, 8.689, 6.008 Å; angles 110.21, 110.21, 40.16 degrees
Fractional positions:
La (0.000, 0.000, 0.000)
La (0.148, 0.148, 0.649)
La (0.852, 0.852, 0.351)
Pm (0.253, 0.253, 0.255)
Pm (0.747, 0.747, 0.745)
Er (0.380, 0.380, 0.881)
Er (0.500, 0.500, 0.500)
Er (0.620, 0.620, 0.119)

The 10 most intense peaks (2θ = 10–90°), in order of rising 2θ:
d_spacing	I/Imax
3.004	32
2.983	31
2.825	100
2.117	24
1.698	22
1.690	22
1.604	7
1.601	7
1.413	10
1.323	10

=====

4.
This entry pairs a crystal structure of La4Pm2Er3 with its theoretical powder diffractogram. Radiation: Cu Kα, 1.54184 Å. Structure: a crystal structure in Alexandria, relaxed with GGA-PBE.
Intensities are scaled so that the largest is 100.

Cell and atoms:
Cell lengths 3.633, 3.633, 27.331 Å; angles 90.00, 90.00, 120.00 degrees
Fractional positions:
La (0.000, 0.000, 0.000)
La (0.000, 0.000, 0.212)
La (0.333, 0.667, 0.331)
La (0.333, 0.667, 0.545)
Pm (0.000, 0.000, 0.661)
Pm (0.000, 0.000, 0.868)
Er (0.000, 0.000, 0.438)
Er (0.333, 0.667, 0.105)
Er (0.333, 0.667, 0.765)

The 10 most intense peaks (2θ = 10–90°), in order of rising 2θ:
d_spacing	I/Imax
3.147	47
3.037	50
2.858	67
2.727	100
2.185	30
1.817	38
1.659	29
1.559	41
1.512	17
1.162	14

=====

5.
This entry pairs a crystal structure of La6PmEr4 with its theoretical powder diffractogram. Radiation: Cu Kα, 1.54184 Å. Structure: a crystal structure in Alexandria, relaxed with GGA-PBE.
Intensities are scaled so that the largest is 100.

Cell and atoms:
Cell lengths 11.188, 11.188, 3.611 Å; angles 90.00, 90.00, 120.00 degrees
Fractional positions:
La (0.183, 0.365, 0.000)
La (0.183, 0.817, 0.000)
La (0.528, 0.055, 0.500)
La (0.528, 0.472, 0.500)
La (0.635, 0.817, 0.000)
La (0.945, 0.472, 0.500)
Pm (0.000, 0.000, 0.500)
Er (0.319, 0.159, 0.000)
Er (0.333, 0.667, 0.500)
Er (0.841, 0.159, 0.000)
Er (0.841, 0.681, 0.000)

The 10 most intense peaks (2θ = 10–90°), in order of rising 2θ:
d_spacing	I/Imax
3.230	20
3.034	30
2.895	81
2.797	100
2.571	36
2.407	14
2.012	19
1.825	15
1.708	14
1.517	31

=====

6.
This entry pairs a crystal structure of La4Pm3Er4 with its theoretical powder diffractogram. Radiation: Cu Kα, 1.54184 Å. Structure: a crystal structure in Alexandria, relaxed with GGA-PBE.
Intensities are scaled so that the largest is 100.

Cell and atoms:
Cell lengths 10.816, 6.695, 6.695 Å; angles 51.23, 90.00, 90.00 degrees
Fractional positions:
La (0.000, 0.000, 0.000)
La (0.208, 0.803, 0.803)
La (0.500, 0.919, 0.919)
La (0.792, 0.803, 0.803)
Pm (0.000, 0.293, 0.293)
Pm (0.289, 0.455, 0.455)
Pm (0.711, 0.455, 0.455)
Er (0.000, 0.596, 0.596)
Er (0.307, 0.149, 0.149)
Er (0.500, 0.646, 0.646)
Er (0.693, 0.149, 0.149)

The 10 most intense peaks (2θ = 10–90°), in order of rising 2θ:
d_spacing	I/Imax
2.967	33
2.908	16
2.894	39
2.820	100
2.704	14
2.051	12
1.976	12
1.758	11
1.656	21
1.503	26

=====

7.
This entry pairs a crystal structure of LaPm7Er4 with its theoretical powder diffractogram. Radiation: Cu Kα, 1.54184 Å. Structure: a crystal structure in Alexandria, relaxed with GGA-PBE.
Intensities are scaled so that the largest is 100.

Cell and atoms:
Cell lengths 6.312, 7.287, 8.977 Å; angles 89.99, 76.38, 90.00 degrees
Fractional positions:
La (0.000, 0.000, 0.000)
Pm (0.000, 0.500, 0.000)
Pm (0.223, 0.000, 0.336)
Pm (0.281, 0.748, 0.663)
Pm (0.500, 0.254, 0.999)
Pm (0.500, 0.746, 0.001)
Pm (0.719, 0.252, 0.337)
Pm (0.777, 0.000, 0.664)
Er (0.218, 0.500, 0.336)
Er (0.278, 0.255, 0.665)
Er (0.722, 0.745, 0.335)
Er (0.782, 0.500, 0.664)

The 10 most intense peaks (2θ = 10–90°), in order of rising 2θ:
d_spacing	I/Imax
3.133	36
3.068	19
2.908	51
2.842	100
2.703	92
1.822	40
1.697	21
1.608	20
1.544	38
1.534	16

=====

8.
This entry pairs a crystal structure of La2PmEr12 with its theoretical powder diffractogram. Radiation: Cu Kα, 1.54184 Å. Structure: a crystal structure in Alexandria, relaxed with GGA-PBE.
Intensities are scaled so that the largest is 100.

Cell and atoms:
Cell lengths 6.452, 6.452, 24.667 Å; angles 90.00, 90.00, 90.00 degrees
Fractional positions:
La (0.250, 0.750, 0.237)
La (0.250, 0.750, 0.763)
La (0.750, 0.250, 0.237)
La (0.750, 0.250, 0.763)
Pm (0.250, 0.750, 0.500)
Pm (0.750, 0.250, 0.500)
Er (0.001, 0.501, 0.387)
Er (0.001, 0.999, 0.613)
Er (0.081, 0.581, 0.940)
Er (0.081, 0.919, 0.060)
Er (0.250, 0.250, 0.160)
Er (0.250, 0.250, 0.287)
Er (0.250, 0.250, 0.713)
Er (0.250, 0.250, 0.840)
Er (0.419, 0.581, 0.060)
Er (0.419, 0.919, 0.940)
Er (0.499, 0.501, 0.613)
Er (0.499, 0.999, 0.387)
Er (0.501, 0.001, 0.613)
Er (0.501, 0.499, 0.387)
Er (0.581, 0.081, 0.060)
Er (0.581, 0.419, 0.940)
Er (0.750, 0.750, 0.160)
Er (0.750, 0.750, 0.287)
Er (0.750, 0.750, 0.713)
Er (0.750, 0.750, 0.840)
Er (0.919, 0.081, 0.940)
Er (0.919, 0.419, 0.060)
Er (0.999, 0.001, 0.387)
Er (0.999, 0.499, 0.613)

The 10 most intense peaks (2θ = 10–90°), in order of rising 2θ:
d_spacing	I/Imax
4.279	47
3.121	97
3.003	73
2.859	100
2.789	88
2.741	71
2.700	43
2.613	36
2.281	92
1.753	43